No. 1
Simulated X-ray diffraction stick pattern of MgMnSb2O6 for Cu Ka, from a structure optimized by DFT (PBE+U).

Cell and atoms:
Cell: 5.4668 5.4668 5.2606 Å, 90.04 90.04 119.89°
Fractional coordinates of all 10 atoms:
Mg: 0.0000 0.0000 0.0000
Mn: 0.3337 0.6663 0.0000
Sb: 0.0012 0.9988 0.5000
Sb: 0.6677 0.3323 0.5000
O: 0.0065 0.2939 0.2601
O: 0.0071 0.7109 0.7412
O: 0.2882 0.2931 0.7414
O: 0.2891 0.9929 0.2588
O: 0.7061 0.9935 0.7399
O: 0.7069 0.7118 0.2586

Main lines, by angle (2θ from 10° to 80°):
- 2θ = 16.85°, rel. 42
- 2θ = 18.73°, rel. 32
- 2θ = 25.30°, rel. 100
- 2θ = 32.75°, rel. 71
- 2θ = 34.09°, rel. 14
- 2θ = 37.05°, rel. 41
- 2θ = 41.83°, rel. 25
- 2θ = 47.99°, rel. 82
- 2θ = 54.09°, rel. 16
- 2θ = 58.41°, rel. 17


No. 2
Simulated X-ray diffraction stick pattern of RbMgMn4O8 for Cu Ka, from a structure optimized by DFT (PBE+U).

Cell and atoms:
Cell: 3.0187 7.5369 7.5864 Å, 79.11 79.57 82.56°
Fractional coordinates of all 14 atoms:
Rb: 0.0000 0.0000 0.0000
Mg: 0.6740 0.2479 0.2784
Mn: 0.0185 0.2743 0.6115
Mn: 0.2556 0.5684 0.8937
Mn: 0.4767 0.6057 0.2618
Mn: 0.7441 0.8963 0.5336
O: 0.1709 0.0755 0.3754
O: 0.1974 0.4231 0.1555
O: 0.2588 0.7637 0.6751
O: 0.5242 0.4043 0.4745
O: 0.5547 0.1063 0.6934
O: 0.6473 0.6979 0.9951
O: 0.8380 0.4281 0.8207
O: 0.8657 0.7493 0.3316

Main lines, by angle (2θ from 10° to 80°):
- 2θ = 15.52°, rel. 20
- 2θ = 25.15°, rel. 42
- 2θ = 28.91°, rel. 100
- 2θ = 31.33°, rel. 64
- 2θ = 33.79°, rel. 28
- 2θ = 36.63°, rel. 51
- 2θ = 47.78°, rel. 21
- 2θ = 50.43°, rel. 19
- 2θ = 57.48°, rel. 24
- 2θ = 61.60°, rel. 19


No. 3
Simulated X-ray diffraction stick pattern of LaFeO3 for Cu Ka, from a structure optimized by DFT (PBE+U).

Cell and atoms:
Cell: 9.1244 6.4529 5.6623 Å, 90.00 90.00 90.00°
Fractional coordinates of all 20 atoms:
La: 0.2494 0.2484 0.0000
La: 0.2506 0.7516 0.5000
La: 0.7494 0.7516 0.5000
La: 0.7506 0.2484 0.0000
Fe: 0.0000 0.3287 0.5061
Fe: 0.0000 0.8163 0.9958
Fe: 0.5000 0.1837 0.4958
Fe: 0.5000 0.6713 0.0061
O: 0.0000 0.2932 0.8297
O: 0.0000 0.7875 0.6707
O: 0.1648 0.4233 0.3498
O: 0.1646 0.9186 0.1458
O: 0.3354 0.0814 0.6458
O: 0.3352 0.5767 0.8498
O: 0.5000 0.2125 0.1707
O: 0.5000 0.7068 0.3297
O: 0.6646 0.0814 0.6458
O: 0.6648 0.5767 0.8498
O: 0.8352 0.4233 0.3498
O: 0.8354 0.9186 0.1458

Main lines, by angle (2θ from 10° to 80°):
- 2θ = 20.87°, rel. 23
- 2θ = 27.65°, rel. 25
- 2θ = 28.68°, rel. 100
- 2θ = 31.60°, rel. 19
- 2θ = 39.51°, rel. 13
- 2θ = 42.48°, rel. 16
- 2θ = 45.09°, rel. 19
- 2θ = 48.90°, rel. 14
- 2θ = 49.54°, rel. 16
- 2θ = 54.50°, rel. 22


No. 4
Simulated X-ray diffraction stick pattern of MgMn6O7F5 for Cu Ka, from a structure optimized by DFT (PBE+U).

Cell and atoms:
Cell: 5.1215 5.8760 8.1038 Å, 80.88 82.72 83.91°
Fractional coordinates of all 19 atoms:
Mg: 0.0000 0.0000 0.0000
Mn: 0.0490 0.5153 0.0022
Mn: 0.4724 0.3188 0.6607
Mn: 0.4984 0.9798 0.9893
Mn: 0.5041 0.6669 0.3055
Mn: 0.9829 0.1843 0.3594
Mn: 0.9950 0.7959 0.6239
O: 0.2013 0.8872 0.4189
O: 0.2021 0.5406 0.7458
O: 0.2741 0.7411 0.0771
O: 0.2953 0.0778 0.8078
O: 0.6937 0.9137 0.1783
O: 0.7777 0.1009 0.5668
O: 0.7948 0.4463 0.2351
F: 0.1871 0.1935 0.1266
F: 0.3006 0.3994 0.4205
F: 0.6878 0.5867 0.5603
F: 0.7320 0.2463 0.9143
F: 0.8239 0.7986 0.8635

Main lines, by angle (2θ from 10° to 80°):
- 2θ = 22.99°, rel. 100
- 2θ = 26.74°, rel. 62
- 2θ = 33.52°, rel. 22
- 2θ = 33.82°, rel. 20
- 2θ = 34.55°, rel. 16
- 2θ = 34.77°, rel. 14
- 2θ = 46.78°, rel. 16
- 2θ = 47.01°, rel. 25
- 2θ = 49.21°, rel. 17
- 2θ = 51.49°, rel. 19


No. 5
Simulated X-ray diffraction stick pattern of PWO4 for Cu Ka, from a structure optimized by DFT (PBE+U).

Cell and atoms:
Cell: 10.2048 5.9930 5.1075 Å, 90.00 90.00 90.00°
Fractional coordinates of all 24 atoms:
P: 0.0863 0.2500 0.1310
P: 0.4137 0.7500 0.6310
P: 0.5863 0.2500 0.3690
P: 0.9137 0.7500 0.8690
W: 0.2284 0.7500 0.0643
W: 0.2716 0.2500 0.5643
W: 0.7284 0.7500 0.4357
W: 0.7716 0.2500 0.9357
O: 0.0598 0.7500 0.8127
O: 0.1143 0.2500 0.8386
O: 0.1578 0.0473 0.2766
O: 0.1578 0.4527 0.2766
O: 0.3422 0.5473 0.7766
O: 0.3422 0.9527 0.7766
O: 0.3857 0.7500 0.3386
O: 0.4402 0.2500 0.3127
O: 0.5598 0.7500 0.6873
O: 0.6143 0.2500 0.6614
O: 0.6578 0.0473 0.2234
O: 0.6578 0.4527 0.2234
O: 0.8422 0.5473 0.7234
O: 0.8422 0.9527 0.7234
O: 0.8857 0.7500 0.1614
O: 0.9402 0.2500 0.1873

Main lines, by angle (2θ from 10° to 80°):
- 2θ = 17.38°, rel. 61
- 2θ = 24.50°, rel. 100
- 2θ = 28.87°, rel. 21
- 2θ = 29.82°, rel. 32
- 2θ = 34.72°, rel. 16
- 2θ = 35.06°, rel. 56
- 2θ = 46.75°, rel. 15
- 2θ = 47.63°, rel. 14
- 2θ = 49.82°, rel. 15
- 2θ = 50.53°, rel. 16